For LaMo2O8, DFT lattice parameters and positions (PBE+U) gives the simulated PXRD pattern in this record (copper Kα).
No peak broadening, texture or thermal motion is included.

Crystal structure
```
LaMo2O8
1.0
-2.4357 2.4357 5.8887
2.4357 -2.4357 5.8887
2.4357 2.4357 -5.8887
La Mo O
1 2 8
Cartesian
0.0000 0.0000 0.0000 La
2.4357 0.0000 2.9443 Mo
0.0000 2.4357 2.9443 Mo
3.5774 1.1410 -1.7676 O
1.1410 1.2940 -1.7676 O
1.2940 1.1410 1.7676 O
1.2947 -1.1417 7.6563 O
1.2947 1.1417 4.1211 O
-1.1417 1.2947 4.1211 O
1.1410 3.5774 1.7676 O
1.1417 1.2947 7.6563 O
```

Peak list (6 most intense, 2θ from 10° to 90°, by angle)
2θ = 19.72°, I 48; 2θ = 29.22°, I 18; 2θ = 30.06°, I 100; 2θ = 48.51°, I 42; 2θ = 53.75°, I 19; 2θ = 62.30°, I 24